Structure and simulated X-ray diffraction stick pattern of Co11Ni4 (DFT lattice parameters and positions (PBE); λ = 1.5418 Å (Cu Kα)).
Intensities are scaled so that the largest is 100.

Most intense lines, 10 to 90 degrees two-theta, most intense first:
two_theta	I/Imax	h k l
48.4	100.0	4 1 1
43.7	97.0	4 1 0
46.9	71.5	2 1 2
49.7	53.0	3 3 1
45.1	39.3	3 3 0
45.6	36.0	2 0 2

Cell and atoms:
a b c (Å): 8.533 8.533 4.499
angles (deg): 90.00 90.00 90.00
Space group P4_2/mnm (No. 136)
Unique sites:
Co (0.000, 0.000, 0.000) (multiplicity 2)
Co (0.039, 0.366, 0.500) (multiplicity 8)
Co (0.098, 0.098, 0.500) (multiplicity 4)
Co (0.183, 0.817, 0.251) (multiplicity 8)
Ni (0.065, 0.263, 0.000) (multiplicity 8)